[1]
The following is a calculated powder X-ray diffraction pattern of YH3O3. It was derived from a PBE-relaxed structure, using Cu Kα, 1.54184 Å.
Lines closer than 0.1° are merged.

Principal peaks in the range 10° ≤ 2θ ≤ 90°, in order of falling intensity:
2θ/deg	intensity
15.92	100
16.15	79
15.65	77
41.38	66
29.92	61
41.77	58
40.94	57
30.20	57
30.07	54
49.84	53

Atomic structure:
abc: 6.333 3.515 6.440
angles: 90.00 118.48 90.00
Space group P2_1/m (No. 11)
Symmetry-distinct sites (fractional):
Y 0.158 0.250 0.327 [2 per cell]
H 0.233 0.250 0.867 [2 per cell]
H 0.353 0.750 0.137 [2 per cell]
H 0.360 0.750 0.695 [2 per cell]
O 0.110 0.250 0.916 [2 per cell]
O 0.187 0.750 0.593 [2 per cell]
O 0.407 0.750 0.306 [2 per cell]

[2]
The following is a calculated powder X-ray diffraction pattern of YHO2. It was derived from a PBE-relaxed structure, using Cu Kα, 1.54184 Å.
Lines closer than 0.1° are merged.

Principal peaks in the range 10° ≤ 2θ ≤ 90°, in order of falling intensity:
2θ/deg	intensity
28.94	100
33.02	55
30.90	53
22.07	48
40.07	45
15.56	37
51.28	34
51.78	30
21.72	29
31.66	26

Atomic structure:
abc: 4.346 3.671 6.049
angles: 90.00 109.68 90.00
Space group P2_1/m (No. 11)
Symmetry-distinct sites (fractional):
Y 0.164 0.250 0.311 [2 per cell]
H 0.486 0.750 0.098 [2 per cell]
O 0.251 0.750 0.068 [2 per cell]
O 0.265 0.750 0.550 [2 per cell]

[3]
The following is a calculated powder X-ray diffraction pattern of YHO2. It was derived from a PBE-relaxed structure, using Cu Kα, 1.54184 Å.
Lines closer than 0.1° are merged.

Principal peaks in the range 10° ≤ 2θ ≤ 90°, in order of falling intensity:
2θ/deg	intensity
24.41	100
31.39	66
48.41	46
45.81	40
30.14	35
32.50	27
58.25	18
56.53	16
50.02	15
53.32	13

Atomic structure:
abc: 3.517 4.865 5.510
angles: 90.00 90.00 90.00
Space group Pmn2_1 (No. 31)
Symmetry-distinct sites (fractional):
Y 0.000 0.223 0.000 [2 per cell]
H 0.000 0.305 0.480 [2 per cell]
O 0.000 0.020 0.636 [2 per cell]
O 0.000 0.477 0.374 [2 per cell]

[4]
The following is a calculated powder X-ray diffraction pattern of YHO2. It was derived from a PBE-relaxed structure, using Cu Kα, 1.54184 Å.
Lines closer than 0.1° are merged.

Principal peaks in the range 10° ≤ 2θ ≤ 90°, in order of falling intensity:
2θ/deg	intensity
35.20	100
19.23	84
29.20	54
49.48	50
51.77	29
55.73	27
64.15	17
68.24	15
86.85	14
74.42	14

Atomic structure:
abc: 3.5319 3.5319 9.2312
angles: 90.00 90.00 120.00
Space group P6_3/mmc (No. 194)
Symmetry-distinct sites (fractional):
Y 0.0000 0.0000 0.0000 [2 per cell]
H 0.3333 0.6667 0.2500 [2 per cell]
O 0.3333 0.6667 0.1173 [4 per cell]

[5]
The following is a calculated powder X-ray diffraction pattern of YHO2. It was derived from a PBE-relaxed structure, using Cu Kα, 1.54184 Å.
Lines closer than 0.1° are merged.

Principal peaks in the range 10° ≤ 2θ ≤ 90°, in order of falling intensity:
2θ/deg	intensity
32.05	100
19.70	95
30.01	57
29.73	49
47.77	39
51.34	39
51.61	38
31.91	30
55.52	27
24.06	21

Atomic structure:
abc: 11.219 3.558 4.922
angles: 90.00 90.00 90.00
Space group Pnma (No. 62)
Symmetry-distinct sites (fractional):
Y 0.144 0.250 0.061 [4 per cell]
H 0.087 0.750 0.601 [4 per cell]
O 0.059 0.750 0.792 [4 per cell]
O 0.192 0.750 0.308 [4 per cell]

[6]
The following is a calculated powder X-ray diffraction pattern of YH3O3. It was derived from a PBE-relaxed structure, using Cu Kα, 1.54184 Å.
Lines closer than 0.1° are merged.

Principal peaks in the range 10° ≤ 2θ ≤ 90°, in order of falling intensity:
2θ/deg	intensity
15.81	100
16.09	73
15.58	72
41.34	63
41.82	61
30.07	57
30.36	53
40.96	53
49.70	51
30.20	49

Atomic structure:
abc: 6.367 3.484 6.463
angles: 90.00 118.32 90.00
Space group Pm (No. 6)
Symmetry-distinct sites (fractional):
Y 0.000 0.000 0.000 [1 per cell]
Y 0.311 0.500 0.651 [1 per cell]
H 0.389 0.500 0.193 [1 per cell]
H 0.506 0.000 0.461 [1 per cell]
H 0.514 0.000 0.017 [1 per cell]
H 0.791 0.500 0.182 [1 per cell]
H 0.798 0.500 0.631 [1 per cell]
H 0.921 0.000 0.457 [1 per cell]
O 0.045 0.000 0.409 [1 per cell]
O 0.265 0.500 0.240 [1 per cell]
O 0.341 0.000 0.917 [1 per cell]
O 0.559 0.000 0.629 [1 per cell]
O 0.748 0.500 0.016 [1 per cell]
O 0.970 0.500 0.734 [1 per cell]

[7]
The following is a calculated powder X-ray diffraction pattern of YH3O3. It was derived from a PBE-relaxed structure, using Cu Kα, 1.54184 Å.
Lines closer than 0.1° are merged.

Principal peaks in the range 10° ≤ 2θ ≤ 90°, in order of falling intensity:
2θ/deg	intensity
16.04	100
41.56	72
30.11	71
50.84	59
27.96	53
49.48	25
80.53	17
32.40	17
66.54	15
74.60	13

Atomic structure:
abc: 6.3817 6.3817 3.5180
angles: 90.00 90.00 120.00
Space group P6_3 (No. 173)
Symmetry-distinct sites (fractional):
Y 0.3333 0.6667 0.0000 [2 per cell]
H 0.1388 0.2808 0.5381 [6 per cell]
O 0.0864 0.6906 0.4954 [6 per cell]

[8]
The following is a calculated powder X-ray diffraction pattern of YH3O3. It was derived from a PBE-relaxed structure, using Cu Kα, 1.54184 Å.
Lines closer than 0.1° are merged.

Principal peaks in the range 10° ≤ 2θ ≤ 90°, in order of falling intensity:
2θ/deg	intensity
16.08	100
29.93	72
41.47	72
50.82	60
28.05	53
49.63	25
80.67	17
32.50	16
66.61	15
59.61	14

Atomic structure:
abc: 6.3631 6.3631 3.5526
angles: 90.00 90.00 120.00
Space group P6_3/m (No. 176)
Symmetry-distinct sites (fractional):
Y 0.3333 0.6667 0.2500 [2 per cell]
H 0.1384 0.8598 0.7500 [6 per cell]
O 0.0855 0.3968 0.7500 [6 per cell]

[9]
The following is a calculated powder X-ray diffraction pattern of Zn6HO6. It was derived from a PBE-relaxed structure, using Cu Kα, 1.54184 Å.
Lines closer than 0.1° are merged.

Principal peaks in the range 10° ≤ 2θ ≤ 90°, in order of falling intensity:
2θ/deg	intensity
31.05	100
35.59	83
34.53	72
36.73	67
55.20	37
32.26	34
55.15	30
62.51	24
66.69	22
64.66	21

Atomic structure:
abc: 5.771 6.659 41.603
angles: 89.96 89.93 90.00
Space group P1 (No. 1)
Symmetry-distinct sites (fractional):
Zn 0.000 0.000 0.000 [1 per cell]
Zn 0.000 0.000 0.127 [1 per cell]
Zn 0.000 0.500 0.127 [1 per cell]
Zn 0.000 0.501 0.000 [1 per cell]
Zn 0.004 0.005 0.874 [1 per cell]
Zn 0.004 0.498 0.874 [1 per cell]
Zn 0.167 0.250 0.063 [1 per cell]
Zn 0.167 0.252 0.807 [1 per cell]
Zn 0.167 0.750 0.063 [1 per cell]
Zn 0.168 0.251 0.938 [1 per cell]
Zn 0.168 0.751 0.937 [1 per cell]
Zn 0.170 0.752 0.817 [1 per cell]
Zn 0.495 0.252 0.875 [1 per cell]
Zn 0.500 0.250 0.127 [1 per cell]
Zn 0.500 0.750 0.000 [1 per cell]
Zn 0.500 0.750 0.127 [1 per cell]
Zn 0.501 0.250 0.000 [1 per cell]
Zn 0.503 0.752 0.875 [1 per cell]
Zn 0.667 0.000 0.063 [1 per cell]
Zn 0.667 0.500 0.063 [1 per cell]
Zn 0.669 0.002 0.937 [1 per cell]
Zn 0.669 0.501 0.937 [1 per cell]
Zn 0.670 0.006 0.817 [1 per cell]
Zn 0.670 0.498 0.817 [1 per cell]
H 0.169 0.250 0.170 [1 per cell]
H 0.169 0.750 0.170 [1 per cell]
H 0.664 0.000 0.170 [1 per cell]
H 0.664 0.500 0.170 [1 per cell]
O 0.000 0.000 0.080 [1 per cell]
O 0.000 0.500 0.080 [1 per cell]
O 0.001 0.000 0.951 [1 per cell]
O 0.001 0.502 0.951 [1 per cell]
O 0.005 0.005 0.823 [1 per cell]
O 0.005 0.498 0.823 [1 per cell]
O 0.167 0.250 0.015 [1 per cell]
O 0.167 0.250 0.146 [1 per cell]
O 0.167 0.252 0.889 [1 per cell]
O 0.167 0.750 0.015 [1 per cell]
O 0.167 0.750 0.146 [1 per cell]
O 0.168 0.752 0.887 [1 per cell]
O 0.492 0.252 0.824 [1 per cell]
O 0.500 0.250 0.080 [1 per cell]
O 0.500 0.750 0.080 [1 per cell]
O 0.502 0.751 0.951 [1 per cell]
O 0.503 0.251 0.951 [1 per cell]
O 0.505 0.752 0.824 [1 per cell]
O 0.666 0.000 0.146 [1 per cell]
O 0.666 0.500 0.146 [1 per cell]
O 0.667 0.000 0.015 [1 per cell]
O 0.667 0.501 0.015 [1 per cell]
O 0.669 0.003 0.887 [1 per cell]
O 0.669 0.500 0.887 [1 per cell]

[10]
The following is a calculated powder X-ray diffraction pattern of HOs3. It was derived from a PBE-relaxed structure, using Cu Kα, 1.54184 Å.
Lines closer than 0.1° are merged.

Principal peaks in the range 10° ≤ 2θ ≤ 90°, in order of falling intensity:
2θ/deg	intensity
43.28	100
79.39	35
26.10	27
62.87	17
30.23	14
51.24	13
69.26	6
71.33	5
85.29	4
53.70	4

Atomic structure:
abc: 5.913 5.913 5.913
angles: 90.00 90.00 90.00
Space group Fm-3m (No. 225)
Symmetry-distinct sites (fractional):
H 0.000 0.000 0.000 [4 per cell]
Os 0.000 0.000 0.500 [4 per cell]
Os 0.250 0.250 0.250 [8 per cell]

[11]
The following is a calculated powder X-ray diffraction pattern of Sr2H6Os. It was derived from a PBE-relaxed structure, using Cu Kα, 1.54184 Å.
Lines closer than 0.1° are merged.

Principal peaks in the range 10° ≤ 2θ ≤ 90°, in order of falling intensity:
2θ/deg	intensity
33.09	100
20.08	62
59.10	38
39.01	34
47.50	19
79.10	17
52.06	15
69.43	12
63.09	11
73.11	11

Atomic structure:
abc: 7.657 7.657 7.657
angles: 90.00 90.00 90.00
Space group Fm-3m (No. 225)
Symmetry-distinct sites (fractional):
Sr 0.250 0.250 0.250 [8 per cell]
H 0.000 0.000 0.226 [24 per cell]
Os 0.000 0.000 0.000 [4 per cell]